This entry pairs a crystal structure of Ag2P2H10C4NO7 with its simulated X-ray diffraction stick pattern. Radiation: Cu Ka. Structure: DFT lattice parameters and positions (PBE).
No peak broadening, texture or thermal motion is included.

Structural model:
Cell lengths 5.536, 7.318, 12.033 Å; angles 102.89, 90.27, 95.78 degrees
Space group P-1 (No. 2)
Asymmetric unit:
Ag: 0.203 0.455 0.129 x2
Ag: 0.209 0.910 0.014 x2
P: 0.003 0.143 0.248 x2
P: 0.258 0.252 0.874 x2
H: 0.051 0.076 0.572 x2
H: 0.127 0.305 0.661 x2
H: 0.141 0.832 0.316 x2
H: 0.235 0.597 0.430 x2
H: 0.250 0.525 0.618 x2
H: 0.295 0.273 0.434 x2
H: 0.435 0.817 0.592 x2
H: 0.468 0.007 0.256 x2
H: 0.483 0.739 0.387 x2
H: 0.491 0.396 0.292 x2
C: 0.048 0.162 0.659 x2
C: 0.188 0.074 0.740 x2
C: 0.434 0.627 0.432 x2
C: 0.448 0.548 0.620 x2
N: 0.487 0.306 0.446 x2
O: 0.007 0.311 0.919 x2
O: 0.031 0.262 0.370 x2
O: 0.122 0.754 0.833 x2
O: 0.249 0.082 0.198 x2
O: 0.383 0.160 0.959 x2
O: 0.414 0.026 0.688 x2
O: 0.418 0.415 0.846 x2

Top 12 peaks for 15° ≤ 2θ ≤ 90°, most intense first:
- (0 1 3), 28.44°, I 100
- (0 1 4), 35.67°, I 91
- (1 2 -2), 32.14°, I 91
- (1 2 -1), 30.81°, I 83
- (2 0 1), 33.65°, I 70
- (1 -2 2), 29.77°, I 65
- (1 -2 3), 33.22°, I 59
- (1 -2 1), 28.09°, I 58
- (1 0 -1), 17.60°, I 58
- (-1 1 1), 21.64°, I 56
- (0 1 -3), 23.39°, I 51
- (-2 1 2), 37.90°, I 43